(1)
For Pd3Au2, DFT lattice parameters and positions (PBE) gives the calculated powder X-ray diffraction pattern in this record (Cu Kα (weighted mean of Kα1 and Kα2)).
No peak broadening, texture or thermal motion is included.

Crystal structure
a b c (Å): 4.9079 4.7257 7.5120
angles (deg): 90.00 109.01 90.00
Space group P2_1/m (No. 11)
Asymmetric unit:
Pd  0.0657  0.2500  0.2983 x2
Pd  0.1277  0.7500  0.0980 x2
Pd  0.2668  0.2500  0.7008 x2
Au  0.3268  0.7500  0.4956 x2
Au  0.4663  0.2500  0.1010 x2

Main lines, by angle (2θ = 10–80°):
(1 0 0), 2θ = 19.13°, intensity 4; (0 0 2), 2θ = 25.08°, intensity 2; (1 1 -1), 2θ = 26.94°, intensity 7; (2 0 -1), 2θ = 36.57°, intensity 24; (0 2 0), 2θ = 38.08°, intensity 29; (1 1 2), 2θ = 41.42°, intensity 100; (2 2 -1), 2θ = 53.83°, intensity 16; (0 0 5), 2θ = 65.74°, intensity 6; (3 0 -4), 2θ = 65.88°, intensity 11; (1 3 2), 2θ = 71.09°, intensity 20; (0 2 5), 2θ = 78.58°, intensity 7; (3 2 -4), 2θ = 78.71°, intensity 14

***

(2)
For CsSiMoPC, DFT lattice parameters and positions (PBE) gives the calculated powder X-ray diffraction pattern in this record (Cu Kα (weighted mean of Kα1 and Kα2)).
No peak broadening, texture or thermal motion is included.

Crystal structure
a b c (Å): 3.2853 4.8068 7.8493
angles (deg): 86.33 78.05 70.09
Space group P1 (No. 1)
Asymmetric unit:
Cs  0.0000  0.0000  0.0000 x1
Si  0.4933  0.3930  0.6151 x1
Mo  0.8137  0.8441  0.5238 x1
P  0.5312  0.5912  0.3389 x1
C  0.8538  0.5776  0.7112 x1

Main lines, by angle (2θ = 10–80°):
(0 1 0), 2θ = 19.64°, intensity 72; (0 1 -1), 2θ = 22.76°, intensity 38; (0 1 1), 2θ = 22.90°, intensity 44; (0 0 2), 2θ = 23.17°, intensity 92; (1 1 1), 2θ = 29.51°, intensity 100; (0 1 -2), 2θ = 30.44°, intensity 52; (0 1 2), 2θ = 30.66°, intensity 42; (1 1 -1), 2θ = 33.88°, intensity 95; (1 -1 0), 2θ = 41.07°, intensity 37; (1 2 1), 2θ = 41.14°, intensity 36; (0 2 -1), 2θ = 41.58°, intensity 35; (1 1 -3), 2θ = 50.95°, intensity 33

***

(3)
For Ac6TlGa6, DFT lattice parameters and positions (PBE) gives the calculated powder X-ray diffraction pattern in this record (Cu Kα (weighted mean of Kα1 and Kα2)).
No peak broadening, texture or thermal motion is included.

Crystal structure
a b c (Å): 6.5116 6.5116 11.0338
angles (deg): 90.00 90.00 120.00
Space group P6/mmm (No. 191)
Asymmetric unit:
Ac  0.0000  0.0000  0.1956 x2
Ac  0.3333  0.6667  0.0000 x2
Ac  0.3333  0.6667  0.5000 x2
Tl  0.0000  0.0000  0.5000 x1
Ga  0.0000  0.5000  0.2502 x6

Main lines, by angle (2θ = 10–80°):
(1 0 2), 2θ = 22.55°, intensity 32; (1 1 0), 2θ = 27.39°, intensity 100; (1 0 3), 2θ = 28.98°, intensity 31; (1 1 2), 2θ = 31.92°, intensity 57; (0 0 4), 2θ = 32.46°, intensity 30; (2 0 2), 2θ = 35.76°, intensity 56; (1 1 3), 2θ = 36.87°, intensity 16; (1 1 4), 2θ = 42.97°, intensity 34; (3 0 0), 2θ = 48.43°, intensity 22; (2 2 0), 2θ = 56.53°, intensity 28; (1 1 6), 2θ = 57.56°, intensity 28; (2 2 4), 2θ = 66.72°, intensity 23

***

(4)
For DyP2N4, DFT lattice parameters and positions (PBE) gives the calculated powder X-ray diffraction pattern in this record (Cu Kα (weighted mean of Kα1 and Kα2)).
No peak broadening, texture or thermal motion is included.

Crystal structure
a b c (Å): 5.5340 5.7545 5.7597
angles (deg): 98.04 104.63 112.86
Space group P1 (No. 1)
Asymmetric unit:
Dy  0.0000  0.0000  0.0000 x1
Dy  0.2409  0.8276  0.5524 x1
P  0.1045  0.3341  0.6291 x1
P  0.5859  0.9437  0.2200 x1
P  0.6124  0.4899  0.3522 x1
P  0.7028  0.4104  0.8590 x1
N  0.3570  0.2523  0.7828 x1
N  0.4324  0.6617  0.3036 x1
N  0.4561  0.1583  0.3100 x1
N  0.5243  0.8745  0.9333 x1
N  0.7907  0.6188  0.6647 x1
N  0.8177  0.5470  0.1683 x1
N  0.8902  0.2632  0.8046 x1
N  0.9237  0.0666  0.3792 x1

Main lines, by angle (2θ = 10–80°):
(0 1 0), 2θ = 17.35°, intensity 100; (1 0 0), 2θ = 18.48°, intensity 40; (-1 1 1), 2θ = 24.15°, intensity 58; (1 -1 1), 2θ = 26.27°, intensity 69; (1 0 1), 2θ = 28.81°, intensity 69; (1 1 0), 2θ = 30.67°, intensity 56; (1 0 -2), 2θ = 32.26°, intensity 65; (0 1 -2), 2θ = 33.32°, intensity 42; (-2 1 1), 2θ = 33.73°, intensity 56; (1 -2 1), 2θ = 34.30°, intensity 54; (0 2 -1), 2θ = 34.62°, intensity 49; (2 0 -1), 2θ = 35.45°, intensity 43

***

(5)
For Re2Pt3, DFT lattice parameters and positions (PBE) gives the calculated powder X-ray diffraction pattern in this record (Cu Kα (weighted mean of Kα1 and Kα2)).
No peak broadening, texture or thermal motion is included.

Crystal structure
a b c (Å): 9.3000 13.8681 4.8082
angles (deg): 90.00 90.00 90.00
Space group Fdd2 (No. 43)
Asymmetric unit:
Re  0.0176  0.2068  0.0000 x16
Pt  0.0000  0.0000  0.0333 x8
Pt  0.0251  0.1015  0.5230 x16

Main lines, by angle (2θ = 10–80°):
(4 0 0), 2θ = 38.71°, intensity 100; (3 3 1), 2θ = 39.71°, intensity 8; (4 2 0), 2θ = 40.94°, intensity 6; (2 0 2), 2θ = 42.32°, intensity 53; (3 5 1), 2θ = 47.90°, intensity 35; (5 5 1), 2θ = 63.22°, intensity 12; (1 5 3), 2θ = 68.34°, intensity 13; (2 10 0), 2θ = 70.91°, intensity 11; (6 0 2), 2θ = 72.57°, intensity 7; (3 5 3), 2θ = 74.98°, intensity 9; (0 0 4), 2θ = 79.75°, intensity 7; (0 10 2), 2θ = 79.84°, intensity 8

***

(6)
For LaTm3Ga4, DFT lattice parameters and positions (PBE) gives the calculated powder X-ray diffraction pattern in this record (Cu Kα (weighted mean of Kα1 and Kα2)).
No peak broadening, texture or thermal motion is included.

Crystal structure
a b c (Å): 10.1609 7.1805 5.0801
angles (deg): 90.00 90.00 90.00
Space group Pmma (No. 51)
Asymmetric unit:
La  0.0000  0.0000  0.0000 x2
Tm  0.0000  0.5000  0.0000 x2
Tm  0.2500  0.0000  0.4984 x2
Tm  0.2500  0.5000  0.4978 x2
Ga  0.0000  0.2656  0.5000 x4
Ga  0.2500  0.2656  0.9974 x4

Main lines, by angle (2θ = 10–80°):
(0 1 0), 2θ = 12.33°, intensity 1; (0 2 0), 2θ = 24.79°, intensity 17; (4 0 0), 2θ = 35.34°, intensity 100; (4 2 0), 2θ = 43.65°, intensity 5; (2 3 1), 2θ = 45.54°, intensity 1; (4 0 2), 2θ = 50.84°, intensity 18; (2 4 1), 2θ = 57.37°, intensity 8; (6 2 1), 2θ = 63.44°, intensity 36; (8 0 0), 2θ = 74.76°, intensity 11

***

(7)
For TiGaTe, DFT lattice parameters and positions (PBE) gives the calculated powder X-ray diffraction pattern in this record (Cu Kα (weighted mean of Kα1 and Kα2)).
No peak broadening, texture or thermal motion is included.

Crystal structure
a b c (Å): 5.1786 3.7604 6.8383
angles (deg): 90.00 102.23 90.00
Space group P2_1/m (No. 11)
Asymmetric unit:
Ti  0.2273  0.2500  0.0309 x2
Ga  0.2754  0.7500  0.7515 x2
Te  0.1926  0.7500  0.3176 x2

Main lines, by angle (2θ = 10–80°):
(0 0 2), 2θ = 26.68°, intensity 40; (1 1 0), 2θ = 29.60°, intensity 100; (1 1 -1), 2θ = 30.93°, intensity 93; (2 0 0), 2θ = 35.47°, intensity 67; (0 1 2), 2θ = 35.95°, intensity 38; (1 1 -2), 2θ = 37.55°, intensity 66; (0 0 3), 2θ = 40.49°, intensity 26; (1 0 -3), 2θ = 40.68°, intensity 25; (1 1 2), 2θ = 42.84°, intensity 97; (0 2 0), 2θ = 48.40°, intensity 55; (3 1 -1), 2θ = 58.91°, intensity 26; (2 2 0), 2θ = 61.46°, intensity 37

***

(8)
For Si7Te5, DFT lattice parameters and positions (PBE) gives the calculated powder X-ray diffraction pattern in this record (Cu Kα (weighted mean of Kα1 and Kα2)).
No peak broadening, texture or thermal motion is included.

Crystal structure
a b c (Å): 9.4801 9.4801 6.3877
angles (deg): 90.00 90.00 90.00
Space group I4mm (No. 107)
Asymmetric unit:
Si  0.0000  0.0000  0.0000 x2
Si  0.0000  0.3066  0.0261 x8
Si  0.0000  0.5000  0.2795 x4
Te  0.0000  0.0000  0.4016 x2
Te  0.2199  0.2199  0.5702 x8

Main lines, by angle (2θ = 10–80°):
(1 0 1), 2θ = 16.74°, intensity 27; (2 0 0), 2θ = 18.72°, intensity 38; (2 2 0), 2θ = 26.59°, intensity 93; (0 0 2), 2θ = 27.94°, intensity 37; (3 0 1), 2θ = 31.59°, intensity 46; (2 0 2), 2θ = 33.84°, intensity 100; (3 2 1), 2θ = 36.97°, intensity 43; (4 0 0), 2θ = 37.96°, intensity 48; (4 0 2), 2θ = 47.79°, intensity 22; (5 0 1), 2θ = 50.19°, intensity 32; (3 0 3), 2θ = 51.76°, intensity 64; (7 2 1), 2θ = 74.35°, intensity 26

***

(9)
For DyAl6Au12, DFT lattice parameters and positions (PBE) gives the calculated powder X-ray diffraction pattern in this record (Cu Kα (weighted mean of Kα1 and Kα2)).
No peak broadening, texture or thermal motion is included.

Crystal structure
a b c (Å): 12.0152 12.0152 8.6305
angles (deg): 90.00 90.00 120.00
Space group R-3m (No. 166, hexagonal axes)
Asymmetric unit:
Dy  0.0000  0.0000  0.0000 x3
Al  0.0607  0.5304  0.2470 x18
Au  0.0000  0.3804  0.5000 x18
Au  0.0822  0.1644  0.2914 x18

Main lines, by angle (2θ = 10–80°):
(0 1 2), 2θ = 22.30°, intensity 38; (3 0 0), 2θ = 25.68°, intensity 17; (1 3 1), 2θ = 32.72°, intensity 100; (1 1 3), 2θ = 34.57°, intensity 45; (3 2 1), 2θ = 39.15°, intensity 22; (0 3 3), 2θ = 40.75°, intensity 41; (2 3 2), 2θ = 43.32°, intensity 17; (0 2 4), 2θ = 45.51°, intensity 14; (2 4 1), 2θ = 47.42°, intensity 15; (5 0 2), 2θ = 48.57°, intensity 38; (3 0 6), 2θ = 70.93°, intensity 12; (3 5 4), 2θ = 78.06°, intensity 16

***

(10)
For Tb12Nd2Sc, DFT lattice parameters and positions (PBE) gives the calculated powder X-ray diffraction pattern in this record (Cu Kα (weighted mean of Kα1 and Kα2)).
No peak broadening, texture or thermal motion is included.

Crystal structure
a b c (Å): 7.0319 11.3484 24.5685
angles (deg): 90.00 97.92 90.00
Space group C2/m (No. 12)
Asymmetric unit:
Tb  0.0709  0.2334  0.4338 x8
Tb  0.0984  0.2442  0.9442 x8
Tb  0.1582  0.5000  0.0783 x4
Tb  0.1592  0.5000  0.6134 x4
Tb  0.1648  0.0000  0.0689 x4
Tb  0.1904  0.0000  0.6441 x4
Tb  0.2086  0.2498  0.1718 x8
Tb  0.2376  0.2725  0.6956 x8
Nd  0.0146  0.0000  0.7759 x4
Nd  0.0178  0.5000  0.7722 x4
Sc  0.2470  0.0000  0.5144 x4

Main lines, by angle (2θ = 10–80°):
(2 0 -2), 2θ = 25.61°, intensity 10; (0 0 8), 2θ = 29.35°, intensity 16; (0 2 7), 2θ = 30.15°, intensity 37; (2 0 -6), 2θ = 31.47°, intensity 19; (0 4 0), 2θ = 31.53°, intensity 52; (2 2 2), 2θ = 31.90°, intensity 100; (0 2 8), 2θ = 33.41°, intensity 32; (0 4 8), 2θ = 43.63°, intensity 12; (2 0 9), 2θ = 45.17°, intensity 19; (4 0 -2), 2θ = 52.02°, intensity 12; (2 6 2), 2θ = 56.38°, intensity 22; (4 4 -2), 2θ = 62.12°, intensity 13

***

(11)
For SmMnBr6, DFT lattice parameters and positions (PBE) gives the calculated powder X-ray diffraction pattern in this record (Cu Kα (weighted mean of Kα1 and Kα2)).
No peak broadening, texture or thermal motion is included.

Crystal structure
a b c (Å): 6.8215 6.8259 7.3564
angles (deg): 90.02 117.60 119.95
Space group P-1 (No. 2)
Asymmetric unit:
Sm  0.0000  0.0000  0.0000 x1
Mn  0.0000  0.5000  0.5000 x1
Br  0.1529  0.4234  0.2635 x2
Br  0.1600  0.2705  0.7366 x2
Br  0.4663  0.8895  0.7366 x2

Main lines, by angle (2θ = 10–80°):
(0 1 -1), 2θ = 17.77°, intensity 50; (0 1 1), 2θ = 24.32°, intensity 17; (2 -1 0), 2θ = 29.87°, intensity 100; (0 2 -2), 2θ = 35.98°, intensity 9; (-2 1 3), 2θ = 39.21°, intensity 51; (2 1 -1), 2θ = 41.57°, intensity 11; (1 2 0), 2θ = 45.00°, intensity 10; (3 0 -2), 2θ = 46.07°, intensity 35; (1 1 2), 2θ = 51.61°, intensity 18; (-4 2 3), 2θ = 55.88°, intensity 14; (2 2 -4), 2θ = 62.04°, intensity 11; (3 0 2), 2θ = 78.37°, intensity 13

***

(12)
For Na4ZnI6, DFT lattice parameters and positions (PBE) gives the calculated powder X-ray diffraction pattern in this record (Cu Kα (weighted mean of Kα1 and Kα2)).
No peak broadening, texture or thermal motion is included.

Crystal structure
a b c (Å): 14.9823 8.5846 15.3628
angles (deg): 90.00 111.41 90.00
Space group Cc (No. 9)
Asymmetric unit:
Na  0.0000  0.0945  0.0000 x4
Na  0.1320  0.3366  0.3598 x4
Na  0.3181  0.3731  0.7002 x4
Na  0.3656  0.1124  0.0288 x4
Zn  0.0692  0.2217  0.7658 x4
I  0.1065  0.4642  0.6765 x4
I  0.1283  0.0384  0.2160 x4
I  0.1538  0.2807  0.9467 x4
I  0.3229  0.2406  0.5165 x4
I  0.3812  0.2732  0.2208 x4
I  0.4519  0.2761  0.8976 x4

Main lines, by angle (2θ = 10–80°):
(1 1 -3), 2θ = 20.20°, intensity 40; (3 1 -1), 2θ = 20.59°, intensity 41; (0 2 0), 2θ = 20.73°, intensity 48; (3 1 -3), 2θ = 23.69°, intensity 44; (4 0 -2), 2θ = 23.96°, intensity 44; (1 1 3), 2θ = 24.17°, intensity 100; (2 2 0), 2θ = 24.35°, intensity 39; (0 0 4), 2θ = 24.90°, intensity 40; (2 2 -2), 2θ = 25.15°, intensity 70; (4 0 0), 2θ = 25.55°, intensity 48; (2 2 -6), 2θ = 41.06°, intensity 41; (6 2 -2), 2θ = 41.88°, intensity 39